This entry pairs a crystal structure of CoAs2Ru with its theoretical powder diffractogram. Radiation: Cu Kα (weighted mean of Kα1 and Kα2). Structure: a cell relaxed with PBE.
No peak broadening, texture or thermal motion is included.

Most intense lines, 2θ = 10–80°, low angle first:
d = 4.848 Å, 18.3°, I = 303; d = 2.382 Å, 37.8°, I = 1000; d = 2.314 Å, 38.9°, I = 64; d = 2.156 Å, 41.9°, I = 432; d = 2.072 Å, 43.7°, I = 268; d = 1.939 Å, 46.9°, I = 209; d = 1.905 Å, 47.7°, I = 59; d = 1.825 Å, 50.0°, I = 491; d = 1.456 Å, 63.9°, I = 267; d = 1.309 Å, 72.2°, I = 100; d = 1.242 Å, 76.7°, I = 118; d = 1.207 Å, 79.4°, I = 63

```
data_CoAs2Ru
_cell_length_a 2.9118
_cell_length_b 2.9118
_cell_length_c 29.0854
_cell_angle_alpha 90.00
_cell_angle_beta 90.00
_cell_angle_gamma 120.00
_symmetry_space_group_name_H-M 'R 3 m'
_symmetry_Int_Tables_number 160
_symmetry_space_group_name_Hall 'R 3 -2"'
loop_
_atom_site_label
_atom_site_type_symbol
_atom_site_fract_x
_atom_site_fract_y
_atom_site_fract_z
_atom_site_occupancy
Co1 Co 0.0000 0.0000 0.0000 1
As1 As 0.0000 0.0000 0.5315 1
As2 As 0.0000 0.0000 0.7241 1
Ru1 Ru 0.0000 0.0000 0.2608 1
```


This entry pairs a crystal structure of NiSnAs2Se with its theoretical powder diffractogram. Radiation: Cu Kα (weighted mean of Kα1 and Kα2). Structure: a cell relaxed with PBE.
No peak broadening, texture or thermal motion is included.

Most intense lines, 2θ = 10–80°, low angle first:
d = 3.428 Å, 26.0°, I = 241; d = 3.241 Å, 27.5°, I = 114; d = 2.745 Å, 32.6°, I = 1000; d = 2.582 Å, 34.7°, I = 444; d = 2.292 Å, 39.3°, I = 630; d = 2.020 Å, 44.9°, I = 61; d = 1.905 Å, 47.7°, I = 95; d = 1.714 Å, 53.5°, I = 511; d = 1.620 Å, 56.8°, I = 212; d = 1.520 Å, 60.9°, I = 169; d = 1.395 Å, 67.1°, I = 256; d = 1.373 Å, 68.3°, I = 243

```
data_NiSnAs2Se
_cell_length_a 4.5833
_cell_length_b 4.5833
_cell_length_c 5.1648
_cell_angle_alpha 90.00
_cell_angle_beta 90.00
_cell_angle_gamma 90.00
_symmetry_space_group_name_H-M 'P 4/m m m'
_symmetry_Int_Tables_number 123
_symmetry_space_group_name_Hall '-P 4 2'
loop_
_atom_site_label
_atom_site_type_symbol
_atom_site_fract_x
_atom_site_fract_y
_atom_site_fract_z
_atom_site_occupancy
Ni1 Ni 0.0000 0.0000 0.0000 1
Sn1 Sn 0.5000 0.5000 0.5000 1
As1 As 0.0000 0.5000 0.0000 1
Se1 Se 0.0000 0.0000 0.5000 1
```


This entry pairs a crystal structure of K5Na5Pb with its theoretical powder diffractogram. Radiation: Cu Kα (weighted mean of Kα1 and Kα2). Structure: a cell relaxed with PBE.
No peak broadening, texture or thermal motion is included.

Most intense lines, 2θ = 10–80°, low angle first:
d = 6.882 Å, 12.9°, I = 485; d = 6.515 Å, 13.6°, I = 491; d = 6.108 Å, 14.5°, I = 465; d = 5.592 Å, 15.8°, I = 508; d = 5.253 Å, 16.9°, I = 463; d = 4.259 Å, 20.9°, I = 1000; d = 3.617 Å, 24.6°, I = 488; d = 3.556 Å, 25.0°, I = 500; d = 3.164 Å, 28.2°, I = 486; d = 3.096 Å, 28.8°, I = 648; d = 2.846 Å, 31.4°, I = 447; d = 2.095 Å, 43.2°, I = 461

```
data_K5Na5Pb
_cell_length_a 13.0855
_cell_length_b 6.1914
_cell_length_c 13.8209
_cell_angle_alpha 90.00
_cell_angle_beta 95.24
_cell_angle_gamma 90.00
_symmetry_space_group_name_H-M 'C 1 2/m 1'
_symmetry_Int_Tables_number 12
loop_
_symmetry_equiv_pos_as_xyz
'x,y,z'
'-x,-y,-z'
'-x,y,-z'
'x,-y,z'
'x+1/2,y+1/2,z'
'-x+1/2,-y+1/2,-z'
'-x+1/2,y+1/2,-z'
'x+1/2,-y+1/2,z'
loop_
_atom_site_label
_atom_site_type_symbol
_atom_site_fract_x
_atom_site_fract_y
_atom_site_fract_z
_atom_site_occupancy
K1 K 0.0000 0.0000 0.0000 1
K2 K 0.0958 0.5000 0.7484 1
K3 K 0.2008 0.5000 0.1148 1
Na1 Na 0.0000 0.5000 0.5000 1
Na2 Na 0.1026 0.0000 0.3037 1
Na3 Na 0.2385 0.0000 0.5790 1
Pb1 Pb 0.0000 0.0000 0.5000 1
```


This entry pairs a crystal structure of Ti3Tc3Mo with its theoretical powder diffractogram. Radiation: Cu Kα (weighted mean of Kα1 and Kα2). Structure: a cell relaxed with PBE.
No peak broadening, texture or thermal motion is included.

Most intense lines, 2θ = 10–80°, low angle first:
d = 3.044 Å, 29.3°, I = 212; d = 3.023 Å, 29.5°, I = 148; d = 2.708 Å, 33.1°, I = 69; d = 2.491 Å, 36.1°, I = 83; d = 2.475 Å, 36.3°, I = 96; d = 2.163 Å, 41.8°, I = 202; d = 2.145 Å, 42.1°, I = 1000; d = 1.522 Å, 60.9°, I = 82; d = 1.512 Å, 61.3°, I = 76; d = 1.245 Å, 76.5°, I = 86; d = 1.239 Å, 77.0°, I = 61; d = 1.238 Å, 77.1°, I = 68

```
data_Ti3Tc3Mo
_cell_length_a 8.5709
_cell_length_b 8.6515
_cell_length_c 6.0464
_cell_angle_alpha 90.00
_cell_angle_beta 90.00
_cell_angle_gamma 90.00
_symmetry_space_group_name_H-M 'C m m m'
_symmetry_Int_Tables_number 65
_symmetry_space_group_name_Hall '-C 2 2'
loop_
_atom_site_label
_atom_site_type_symbol
_atom_site_fract_x
_atom_site_fract_y
_atom_site_fract_z
_atom_site_occupancy
Ti1 Ti 0.0000 0.0000 0.2462 1
Ti2 Ti 0.2500 0.2500 0.2466 1
Tc1 Tc 0.0000 0.2439 0.5000 1
Tc2 Tc 0.0000 0.2933 0.0000 1
Tc3 Tc 0.2433 0.0000 0.0000 1
Mo1 Mo 0.1907 0.5000 0.5000 1
```


This entry pairs a crystal structure of Ta2CuReBr with its theoretical powder diffractogram. Radiation: Cu Kα (weighted mean of Kα1 and Kα2). Structure: a cell relaxed with PBE.
No peak broadening, texture or thermal motion is included.

Most intense lines, 2θ = 10–80°, low angle first:
d = 4.309 Å, 20.6°, I = 71; d = 3.204 Å, 27.8°, I = 155; d = 2.664 Å, 33.6°, I = 1000; d = 2.396 Å, 37.5°, I = 583; d = 2.155 Å, 41.9°, I = 214; d = 2.094 Å, 43.2°, I = 43; d = 1.919 Å, 47.4°, I = 74; d = 1.695 Å, 54.1°, I = 203; d = 1.602 Å, 57.5°, I = 338; d = 1.430 Å, 65.3°, I = 303; d = 1.332 Å, 70.7°, I = 182; d = 1.322 Å, 71.3°, I = 117

```
data_Ta2CuReBr
_cell_length_a 4.7929
_cell_length_b 4.7929
_cell_length_c 4.3091
_cell_angle_alpha 90.00
_cell_angle_beta 90.00
_cell_angle_gamma 90.00
_symmetry_space_group_name_H-M 'P 4/m m m'
_symmetry_Int_Tables_number 123
_symmetry_space_group_name_Hall '-P 4 2'
loop_
_atom_site_label
_atom_site_type_symbol
_atom_site_fract_x
_atom_site_fract_y
_atom_site_fract_z
_atom_site_occupancy
Ta1 Ta 0.0000 0.5000 0.0000 1
Cu1 Cu 0.0000 0.0000 0.0000 1
Re1 Re 0.5000 0.5000 0.5000 1
Br1 Br 0.0000 0.0000 0.5000 1
```


This entry pairs a crystal structure of EuHo4Er with its theoretical powder diffractogram. Radiation: Cu Kα (weighted mean of Kα1 and Kα2). Structure: a cell relaxed with PBE.
No peak broadening, texture or thermal motion is included.

Most intense lines, 2θ = 10–80°, low angle first:
d = 5.410 Å, 16.4°, I = 58; d = 3.313 Å, 26.9°, I = 254; d = 2.825 Å, 31.7°, I = 1000; d = 2.705 Å, 33.1°, I = 414; d = 2.343 Å, 38.4°, I = 54; d = 1.913 Å, 47.5°, I = 109; d = 1.803 Å, 50.6°, I = 362; d = 1.656 Å, 55.5°, I = 319; d = 1.429 Å, 65.3°, I = 126; d = 1.413 Å, 66.1°, I = 169; d = 1.252 Å, 76.0°, I = 55; d = 1.220 Å, 78.4°, I = 226

```
data_EuHo4Er
_cell_length_a 9.3704
_cell_length_b 9.3704
_cell_length_c 9.3704
_cell_angle_alpha 90.00
_cell_angle_beta 90.00
_cell_angle_gamma 90.00
_symmetry_space_group_name_H-M 'F -4 3 m'
_symmetry_Int_Tables_number 216
_symmetry_space_group_name_Hall 'F -4 2 3'
loop_
_atom_site_label
_atom_site_type_symbol
_atom_site_fract_x
_atom_site_fract_y
_atom_site_fract_z
_atom_site_occupancy
Eu1 Eu 0.0000 0.0000 0.0000 1
Ho1 Ho 0.1234 0.1234 0.6234 1
Er1 Er 0.2500 0.2500 0.2500 1
```


This entry pairs a crystal structure of NdTm5 with its theoretical powder diffractogram. Radiation: Cu Kα (weighted mean of Kα1 and Kα2). Structure: a cell relaxed with PBE.
No peak broadening, texture or thermal motion is included.

Most intense lines, 2θ = 10–80°, low angle first:
d = 2.874 Å, 31.1°, I = 1000; d = 2.489 Å, 36.1°, I = 506; d = 1.760 Å, 52.0°, I = 360; d = 1.501 Å, 61.8°, I = 427; d = 1.437 Å, 64.9°, I = 123; d = 1.246 Å, 76.5°, I = 19; d = 1.244 Å, 76.6°, I = 38

```
data_NdTm5
_cell_length_a 4.9775
_cell_length_b 14.9231
_cell_length_c 4.9835
_cell_angle_alpha 90.00
_cell_angle_beta 90.00
_cell_angle_gamma 90.00
_symmetry_space_group_name_H-M 'C m m m'
_symmetry_Int_Tables_number 65
_symmetry_space_group_name_Hall '-C 2 2'
loop_
_atom_site_label
_atom_site_type_symbol
_atom_site_fract_x
_atom_site_fract_y
_atom_site_fract_z
_atom_site_occupancy
Nd1 Nd 0.0000 0.0000 0.0000 1
Tm1 Tm 0.0000 0.1675 0.5000 1
Tm2 Tm 0.0000 0.3319 0.0000 1
Tm3 Tm 0.0000 0.5000 0.5000 1
```